# 1
Mg8Al3Cd3: calculated PXRD pattern (λ = 1.5418 Å (Cu Kα)), based on DFT lattice parameters and positions (GGA-PBE).
Lines closer than 0.1° are merged.

The 10 most intense peaks (2θ = 10–80°), by angle:
Position (°2θ)  I (rel.)  (hkl)
16.13  96  0 2 0
21.12  82  1 1 -1
31.34  100  1 3 -1
32.18  32  2 2 1
32.77  81  4 2 0
34.21  78  3 1 1
34.37  29  4 2 -1
36.97  61  5 1 -1
39.59  52  2 0 -2
43.72  31  4 4 0

Cell and atoms:
```
data_Mg8Al3Cd3
_cell_length_a 13.075
_cell_length_b 10.990
_cell_length_c 4.570
_cell_angle_alpha 90.00
_cell_angle_beta 105.53
_cell_angle_gamma 90.00
_symmetry_space_group_name_H-M 'C 1 2/m 1'
_symmetry_Int_Tables_number 12
loop_
_symmetry_equiv_pos_as_xyz
'x,y,z'
'-x,-y,-z'
'-x,y,-z'
'x,-y,z'
'x+1/2,y+1/2,z'
'-x+1/2,-y+1/2,-z'
'-x+1/2,y+1/2,-z'
'x+1/2,-y+1/2,z'
loop_
_atom_site_label
_atom_site_fract_x
_atom_site_fract_y
_atom_site_fract_z
_atom_site_occupancy
Mg1 0.118 0.132 0.104 1
Mg2 0.153 0.307 0.634 1
Al1 0.000 0.367 0.000 1
Al2 0.000 0.500 0.500 1
Cd1 0.000 0.000 0.500 1
Cd2 0.239 0.500 0.241 1
```

---

# 2
Mg3AlCd3: calculated PXRD pattern (λ = 1.5418 Å (Cu Kα)), based on DFT lattice parameters and positions (GGA-PBE).
Lines closer than 0.1° are merged.

The 10 most intense peaks (2θ = 10–80°), by angle:
Position (°2θ)  I (rel.)  (hkl)
10.07  20  0 0 1
20.21  56  0 0 2
29.75  33  2 2 0
34.86  14  3 1 0
36.23  100  2 2 2
37.96  13  1 3 2
40.01  20  0 4 0
41.09  21  0 0 4
45.24  14  0 4 2
51.54  14  2 2 4

Cell and atoms:
```
data_Mg3AlCd3
_cell_length_a 8.056
_cell_length_b 9.014
_cell_length_c 8.788
_cell_angle_alpha 90.00
_cell_angle_beta 90.00
_cell_angle_gamma 90.00
_symmetry_space_group_name_H-M 'C m m m'
_symmetry_Int_Tables_number 65
_symmetry_space_group_name_Hall '-C 2 2'
loop_
_atom_site_label
_atom_site_fract_x
_atom_site_fract_y
_atom_site_fract_z
_atom_site_occupancy
Mg1 0.000 0.000 0.241 1
Mg2 0.250 0.250 0.246 1
Al1 0.000 0.237 0.000 1
Cd1 0.000 0.226 0.500 1
Cd2 0.208 0.500 0.500 1
Cd3 0.210 0.500 0.000 1
```

---

# 3
MgAlCd: calculated PXRD pattern (λ = 1.5418 Å (Cu Kα)), based on DFT lattice parameters and positions (GGA-PBE).
Lines closer than 0.1° are merged.

The 10 most intense peaks (2θ = 10–80°), by angle:
Position (°2θ)  I (rel.)  (hkl)
14.14  26  0 2 0
31.82  43  0 2 1
32.22  42  1 2 -1
35.73  100  0 3 1
35.84  24  0 5 0
36.09  97  1 3 -1
40.04  38  1 0 0
41.67  34  1 0 -2
43.34  24  0 6 0
69.70  17  1 3 1

Cell and atoms:
```
data_MgAlCd
_cell_length_a 3.102
_cell_length_b 12.526
_cell_length_c 4.335
_cell_angle_alpha 90.00
_cell_angle_beta 133.45
_cell_angle_gamma 90.00
_symmetry_space_group_name_H-M 'P 1 2/c 1'
_symmetry_Int_Tables_number 13
loop_
_symmetry_equiv_pos_as_xyz
'x,y,z'
'-x,-y,-z'
'-x,y,-z+1/2'
'x,-y,z+1/2'
loop_
_atom_site_label
_atom_site_fract_x
_atom_site_fract_y
_atom_site_fract_z
_atom_site_occupancy
Mg1 0.000 0.230 0.250 1
Al1 0.000 0.068 0.750 1
Cd1 0.000 0.407 0.750 1
```

---

# 4
Mg16Al12Cd: calculated PXRD pattern (λ = 1.5418 Å (Cu Kα)), based on DFT lattice parameters and positions (GGA-PBE).
Lines closer than 0.1° are merged.

The 10 most intense peaks (2θ = 10–80°), by angle:
Position (°2θ)  I (rel.)  (hkl)
11.87  30  1 1 0
20.63  11  2 1 1
31.75  15  3 2 1
36.14  100  3 3 0
40.11  23  3 3 2
41.97  15  4 2 2
43.77  9  4 3 1
47.21  8  5 2 1
62.25  13  5 5 0
64.99  27  7 2 1

Cell and atoms:
```
data_Mg16Al12Cd
_cell_length_a 10.545
_cell_length_b 10.545
_cell_length_c 10.545
_cell_angle_alpha 90.00
_cell_angle_beta 90.00
_cell_angle_gamma 90.00
_symmetry_space_group_name_H-M 'I -4 3 m'
_symmetry_Int_Tables_number 217
_symmetry_space_group_name_Hall 'I -4 2 3'
loop_
_atom_site_label
_atom_site_fract_x
_atom_site_fract_y
_atom_site_fract_z
_atom_site_occupancy
Mg1 0.043 0.357 0.357 1
Mg2 0.169 0.169 0.831 1
Al1 0.091 0.091 0.278 1
Cd1 0.000 0.000 0.000 1
```

---

# 5
Sr2Mg12AlCd3: calculated PXRD pattern (λ = 1.5418 Å (Cu Kα)), based on DFT lattice parameters and positions (GGA-PBE).
Lines closer than 0.1° are merged.

The 10 most intense peaks (2θ = 10–80°), by angle:
Position (°2θ)  I (rel.)  (hkl)
16.70  52  0 0 6
17.70  32  1 0 4
25.35  100  1 1 3
27.82  85  0 2 1
28.24  59  2 0 2
31.32  41  1 0 10
33.93  35  0 1 11
34.08  33  0 2 7
35.84  82  2 0 8
48.92  63  2 2 0

Cell and atoms:
```
data_Sr2Mg12AlCd3
_cell_length_a 7.4449
_cell_length_b 7.4449
_cell_length_c 31.8576
_cell_angle_alpha 90.00
_cell_angle_beta 90.00
_cell_angle_gamma 120.00
_symmetry_space_group_name_H-M 'R -3 m'
_symmetry_Int_Tables_number 166
_symmetry_space_group_name_Hall '-R 3 2"'
loop_
_atom_site_label
_atom_site_fract_x
_atom_site_fract_y
_atom_site_fract_z
_atom_site_occupancy
Sr1 0.0000 0.0000 0.1454 1
Mg1 0.0357 0.5178 0.0994 1
Mg2 0.0697 0.5348 0.6200 1
Al1 0.0000 0.0000 0.5000 1
Cd1 0.0000 0.5000 0.0000 1
```

---

# 6
MnAlCd4: calculated PXRD pattern (λ = 1.5418 Å (Cu Kα)), based on DFT lattice parameters and positions (GGA-PBE).
Lines closer than 0.1° are merged.

The 10 most intense peaks (2θ = 10–80°), by angle:
Position (°2θ)  I (rel.)  (hkl)
19.05  62  1 1 1
36.95  100  3 1 1
38.65  74  2 2 2
44.94  24  4 0 0
49.22  15  3 3 1
59.53  31  3 3 3
65.43  31  4 4 0
68.84  11  5 3 1
77.58  10  5 3 3
78.65  26  6 2 2

Cell and atoms:
```
data_MnAlCd4
_cell_length_a 8.069
_cell_length_b 8.069
_cell_length_c 8.069
_cell_angle_alpha 90.00
_cell_angle_beta 90.00
_cell_angle_gamma 90.00
_symmetry_space_group_name_H-M 'F -4 3 m'
_symmetry_Int_Tables_number 216
_symmetry_space_group_name_Hall 'F -4 2 3'
loop_
_atom_site_label
_atom_site_fract_x
_atom_site_fract_y
_atom_site_fract_z
_atom_site_occupancy
Mn1 0.000 0.000 0.000 1
Al1 0.250 0.250 0.750 1
Cd1 0.125 0.125 0.375 1
```

---

# 7
AlCd2Mo: calculated PXRD pattern (λ = 1.5418 Å (Cu Kα)), based on DFT lattice parameters and positions (GGA-PBE).
Lines closer than 0.1° are merged.

The 10 most intense peaks (2θ = 10–80°), by angle:
Position (°2θ)  I (rel.)  (hkl)
27.49  14  0 0 9
35.04  9  1 0 1
36.94  30  0 0 12
37.08  100  1 0 4
38.26  11  0 1 5
43.04  62  0 1 8
62.40  17  1 0 16
62.59  21  1 1 0
74.99  33  0 2 4
78.98  10  2 0 8

Cell and atoms:
```
data_AlCd2Mo
_cell_length_a 2.9681
_cell_length_b 2.9681
_cell_length_c 29.2040
_cell_angle_alpha 90.00
_cell_angle_beta 90.00
_cell_angle_gamma 120.00
_symmetry_space_group_name_H-M 'R 3 m'
_symmetry_Int_Tables_number 160
_symmetry_space_group_name_Hall 'R 3 -2"'
loop_
_atom_site_label
_atom_site_fract_x
_atom_site_fract_y
_atom_site_fract_z
_atom_site_occupancy
Al1 0.0000 0.0000 0.0000 1
Cd1 0.0000 0.0000 0.5105 1
Cd2 0.0000 0.0000 0.7516 1
Mo1 0.0000 0.0000 0.2609 1
```

---

# 8
AlCd2Mo: calculated PXRD pattern (λ = 1.5418 Å (Cu Kα)), based on DFT lattice parameters and positions (GGA-PBE).
Lines closer than 0.1° are merged.

The 10 most intense peaks (2θ = 10–80°), by angle:
Position (°2θ)  I (rel.)  (hkl)
24.17  20  1 0 1
37.38  100  1 1 2
37.63  6  1 0 3
40.60  20  0 0 4
44.79  29  2 0 0
62.03  21  2 0 4
65.21  9  2 2 0
71.75  14  1 1 6
77.65  22  3 1 2
79.71  10  2 2 4

Cell and atoms:
```
data_AlCd2Mo
_cell_length_a 4.047
_cell_length_b 4.047
_cell_length_c 8.889
_cell_angle_alpha 90.00
_cell_angle_beta 90.00
_cell_angle_gamma 90.00
_symmetry_space_group_name_H-M 'I -4 m 2'
_symmetry_Int_Tables_number 119
_symmetry_space_group_name_Hall 'I -4 -2'
loop_
_atom_site_label
_atom_site_fract_x
_atom_site_fract_y
_atom_site_fract_z
_atom_site_occupancy
Al1 0.000 0.000 0.000 1
Cd1 0.000 0.000 0.500 1
Cd2 0.000 0.500 0.750 1
Mo1 0.000 0.500 0.250 1
```